Structure and simulated PXRD pattern of Ba3NbFe3Si2O14 (DFT lattice parameters and positions (GGA+U); Cu Kα (λ = 1.5418 Å)).

Atomic structure:
abc: 8.685 8.685 5.318
angles: 90.00 90.00 120.00
Fractional coordinates of all 23 atoms:
Ba: 0.000 0.430 0.000
Ba: 0.430 0.000 0.000
Ba: 0.570 0.570 0.000
Nb: 0.000 0.000 0.000
Fe: 0.000 0.746 0.500
Fe: 0.254 0.254 0.500
Fe: 0.746 0.000 0.500
Si: 0.333 0.667 0.522
Si: 0.667 0.333 0.478
O: 0.103 0.216 0.224
O: 0.114 0.897 0.224
O: 0.176 0.699 0.648
O: 0.216 0.103 0.776
O: 0.301 0.477 0.648
O: 0.333 0.667 0.219
O: 0.477 0.301 0.352
O: 0.523 0.824 0.648
O: 0.667 0.333 0.781
O: 0.699 0.176 0.352
O: 0.784 0.886 0.224
O: 0.824 0.523 0.352
O: 0.886 0.784 0.776
O: 0.897 0.114 0.776

Largest 8 diffraction maxima, by intensity, 10 to 90 degrees two-theta:
- (0 2 1), 29.1 deg, I 100
- (1 1 1), 26.5 deg, I 69
- (1 2 2), 46.8 deg, I 42
- (2 3 1), 56.0 deg, I 41
- (2 1 0), 31.5 deg, I 25
- (0 2 2), 41.6 deg, I 24
- (2 0 0), 23.7 deg, I 23
- (3 1 0), 43.4 deg, I 19